No. 1
Computed powder diffractogram of PmNd6Sm2 for Cu Kα, 1.54184 Å, from DFT lattice parameters and positions (GGA-PBE).

The 10 most intense peaks (5° ≤ 2θ ≤ 70°), low angle first:
2θ = 27.01°, I = 13, (4 0 0)
2θ = 27.31°, I = 12, (0 2 1)
2θ = 28.18°, I = 17, (0 0 2)
2θ = 30.54°, I = 100, (2 2 -1)
2θ = 31.33°, I = 16, (2 0 -2)
2θ = 39.43°, I = 25, (4 0 -2)
2θ = 43.54°, I = 11, (6 0 -1)
2θ = 47.72°, I = 21, (0 4 0)
2θ = 51.38°, I = 12, (4 0 3)
2θ = 57.72°, I = 13, (4 4 1)

Crystal structure
Cell: 13.2037 7.6231 6.3325 Å, 90.00 90.01 90.00°
Space group C2/m (No. 12)
One atom of each set of equivalent atoms:
Pm1 0.0000 0.0000 0.0000 [2 per cell]
Nd1 0.0942 0.2809 0.7077 [8 per cell]
Nd2 0.1871 0.0000 0.2921 [4 per cell]
Sm1 0.1666 0.5000 0.2123 [4 per cell]


No. 2
Computed powder diffractogram of Tb4HoAu5 for Cu Kα, 1.54184 Å, from DFT lattice parameters and positions (GGA-PBE).

The 9 most intense peaks (5° ≤ 2θ ≤ 70°), low angle first:
2θ = 24.30°, I = 1, (0 0 5)
2θ = 24.87°, I = 1, (1 0 0)
2θ = 35.04°, I = 100, (1 0 5)
2θ = 35.46°, I = 49, (1 1 0)
2θ = 43.45°, I = 1, (1 1 5)
2θ = 49.78°, I = 9, (0 0 10)
2θ = 51.01°, I = 17, (2 0 0)
2θ = 62.60°, I = 19, (1 1 10)
2θ = 63.39°, I = 36, (2 1 5)

Crystal structure
Cell: 3.5805 3.5805 18.3160 Å, 90.00 90.00 90.00°
Space group P4/mmm (No. 123)
One atom of each set of equivalent atoms:
Tb1 0.0000 0.0000 0.1002 [2 per cell]
Tb2 0.0000 0.0000 0.3009 [2 per cell]
Ho1 0.0000 0.0000 0.5000 [1 per cell]
Au1 0.5000 0.5000 0.0000 [1 per cell]
Au2 0.5000 0.5000 0.2006 [2 per cell]
Au3 0.5000 0.5000 0.4022 [2 per cell]


Copy entry 2 word for word.
Computed powder diffractogram of Tb4HoAu5 for Cu Kα, 1.54184 Å, from DFT lattice parameters and positions (GGA-PBE).

The 9 most intense peaks (5° ≤ 2θ ≤ 70°), low angle first:
2θ = 24.30°, I = 1, (0 0 5)
2θ = 24.87°, I = 1, (1 0 0)
2θ = 35.04°, I = 100, (1 0 5)
2θ = 35.46°, I = 49, (1 1 0)
2θ = 43.45°, I = 1, (1 1 5)
2θ = 49.78°, I = 9, (0 0 10)
2θ = 51.01°, I = 17, (2 0 0)
2θ = 62.60°, I = 19, (1 1 10)
2θ = 63.39°, I = 36, (2 1 5)

Crystal structure
Cell: 3.5805 3.5805 18.3160 Å, 90.00 90.00 90.00°
Space group P4/mmm (No. 123)
One atom of each set of equivalent atoms:
Tb1 0.0000 0.0000 0.1002 [2 per cell]
Tb2 0.0000 0.0000 0.3009 [2 per cell]
Ho1 0.0000 0.0000 0.5000 [1 per cell]
Au1 0.5000 0.5000 0.0000 [1 per cell]
Au2 0.5000 0.5000 0.2006 [2 per cell]
Au3 0.5000 0.5000 0.4022 [2 per cell]